For MgSe2O4, a GGA-PBE-relaxed structure gives the calculated powder diffraction line list in this record (a wavelength of 1.5418 Å).
Intensities are scaled so that the largest is 100.

The 12 most intense peaks (2θ = 10–90°), in order of falling intensity:
2θ 28.1, I = 100.0
2θ 22.3, I = 66.4
2θ 48.8, I = 54.6
2θ 34.3, I = 45.0
2θ 31.7, I = 35.7
2θ 25.7, I = 31.8
2θ 62.6, I = 24.7
2θ 46.8, I = 24.1
2θ 55.6, I = 19.9
2θ 52.8, I = 13.4
2θ 74.5, I = 12.9
2θ 15.7, I = 12.6

Crystal structure
```
data_MgSe2O4
_cell_length_a 7.9827
_cell_length_b 7.9827
_cell_length_c 6.9339
_cell_angle_alpha 90.00
_cell_angle_beta 90.00
_cell_angle_gamma 90.00
_space_group_name_H-M_alt 'P 1'
_space_group_IT_number 1
loop_
_space_group_symop_operation_xyz
'x,y,z'
loop_
_atom_site_label
_atom_site_fract_x
_atom_site_fract_y
_atom_site_fract_z
_atom_site_occupancy
Mg1 0.0000 0.5000 0.2500 1
Mg2 0.0000 0.5000 0.7500 1
Mg3 0.5000 0.0000 0.2500 1
Mg4 0.5000 0.0000 0.7500 1
Se1 0.1869 0.2003 0.0000 1
Se2 0.2003 0.8131 0.5000 1
Se3 0.2997 0.3131 0.5000 1
Se4 0.3131 0.7003 0.0000 1
Se5 0.6869 0.2997 0.0000 1
Se6 0.7003 0.6869 0.5000 1
Se7 0.7997 0.1869 0.5000 1
Se8 0.8131 0.7997 0.0000 1
O1 0.1059 0.6256 0.0000 1
O2 0.1256 0.6059 0.5000 1
O3 0.1886 0.3114 0.2500 1
O4 0.1886 0.3114 0.7500 1
O5 0.3114 0.8114 0.2500 1
O6 0.3114 0.8114 0.7500 1
O7 0.3744 0.1059 0.5000 1
O8 0.3941 0.1256 0.0000 1
O9 0.6059 0.8744 0.0000 1
O10 0.6256 0.8941 0.5000 1
O11 0.6886 0.1886 0.2500 1
O12 0.6886 0.1886 0.7500 1
O13 0.8114 0.6886 0.2500 1
O14 0.8114 0.6886 0.7500 1
O15 0.8744 0.3941 0.5000 1
O16 0.8941 0.3744 0.0000 1
```

---

For MgTiSeO5, a GGA-PBE-relaxed structure gives the calculated powder diffraction line list in this record (a wavelength of 1.5418 Å).
Intensities are scaled so that the largest is 100.

The 12 most intense peaks (2θ = 10–90°), in order of falling intensity:
2θ 27.0, I = 100.0
2θ 25.4, I = 90.3
2θ 36.8, I = 57.7
2θ 46.5, I = 39.1
2θ 17.3, I = 32.1
2θ 54.4, I = 27.5
2θ 26.2, I = 24.8
2θ 60.7, I = 24.7
2θ 26.5, I = 18.6
2θ 25.8, I = 16.7
2θ 35.1, I = 15.2
2θ 37.5, I = 15.0

Crystal structure
```
data_MgTiSeO5
_cell_length_a 5.4974
_cell_length_b 5.4974
_cell_length_c 7.6730
_cell_angle_alpha 109.55
_cell_angle_beta 109.55
_cell_angle_gamma 91.75
_space_group_name_H-M_alt 'P 1'
_space_group_IT_number 1
loop_
_space_group_symop_operation_xyz
'x,y,z'
loop_
_atom_site_label
_atom_site_fract_x
_atom_site_fract_y
_atom_site_fract_z
_atom_site_occupancy
Mg1 0.0454 0.9546 0.7500 1
Mg2 0.9546 0.0454 0.2500 1
Ti1 0.0000 0.5000 0.0000 1
Ti2 0.5000 0.0000 0.5000 1
Se1 0.4205 0.5795 0.7500 1
Se2 0.5795 0.4205 0.2500 1
O1 0.1713 0.6486 0.8460 1
O2 0.2313 0.7687 0.2500 1
O3 0.2357 0.2441 0.0106 1
O4 0.2441 0.2357 0.5106 1
O5 0.3514 0.8287 0.6540 1
O6 0.6486 0.1713 0.3460 1
O7 0.7559 0.7643 0.4894 1
O8 0.7643 0.7559 0.9894 1
O9 0.7687 0.2313 0.7500 1
O10 0.8287 0.3514 0.1540 1
```

---

For Mg2Si4O11, a GGA-PBE-relaxed structure gives the calculated powder diffraction line list in this record (a wavelength of 1.5418 Å).
Intensities are scaled so that the largest is 100.

The 12 most intense peaks (2θ = 10–90°), in order of falling intensity:
2θ 13.2, I = 100.0
2θ 19.6, I = 83.8
2θ 20.5, I = 67.3
2θ 26.7, I = 42.0
2θ 19.9, I = 35.4
2θ 16.1, I = 31.8
2θ 34.8, I = 21.2
2θ 33.0, I = 17.7
2θ 27.1, I = 15.1
2θ 34.5, I = 11.2
2θ 38.2, I = 10.6
2θ 54.0, I = 9.9

Crystal structure
```
data_Mg2Si4O11
_cell_length_a 11.4972
_cell_length_b 11.4972
_cell_length_c 5.4420
_cell_angle_alpha 101.99
_cell_angle_beta 101.99
_cell_angle_gamma 103.75
_space_group_name_H-M_alt 'P 1'
_space_group_IT_number 1
loop_
_space_group_symop_operation_xyz
'x,y,z'
loop_
_atom_site_label
_atom_site_fract_x
_atom_site_fract_y
_atom_site_fract_z
_atom_site_occupancy
Mg1 0.1029 0.8971 0.0000 1
Mg2 0.1385 0.8615 0.5000 1
Mg3 0.8615 0.1385 0.5000 1
Mg4 0.8971 0.1029 0.0000 1
Si1 0.0499 0.3787 0.9646 1
Si2 0.1316 0.3043 0.4682 1
Si3 0.3043 0.1316 0.4682 1
Si4 0.3787 0.0499 0.9646 1
Si5 0.6213 0.9501 0.0354 1
Si6 0.6957 0.8684 0.5318 1
Si7 0.8684 0.6957 0.5318 1
Si8 0.9501 0.6213 0.0354 1
O1 0.0000 0.5000 0.0000 1
O2 0.0013 0.1926 0.3607 1
O3 0.0438 0.0438 0.8760 1
O4 0.0677 0.7475 0.1457 1
O5 0.1352 0.3880 0.7558 1
O6 0.1365 0.3855 0.2526 1
O7 0.1926 0.0013 0.3607 1
O8 0.2525 0.9323 0.8543 1
O9 0.2530 0.2530 0.5014 1
O10 0.3855 0.1365 0.2526 1
O11 0.3880 0.1352 0.7558 1
O12 0.5000 0.0000 0.0000 1
O13 0.6120 0.8648 0.2442 1
O14 0.6145 0.8635 0.7474 1
O15 0.7470 0.7470 0.4986 1
O16 0.7475 0.0677 0.1457 1
O17 0.8074 0.9987 0.6393 1
O18 0.8635 0.6145 0.7474 1
O19 0.8648 0.6120 0.2442 1
O20 0.9323 0.2525 0.8543 1
O21 0.9562 0.9562 0.1240 1
O22 0.9987 0.8074 0.6393 1
```